Record 1
Structure and calculated powder X-ray diffraction pattern of YCu2 (a PBE-relaxed structure; Cu Kα).
Peak positions follow from Bragg's law for the DFT cell and can differ from measured ones.

Cell and atoms:
```
6
Lattice="-2.134 3.448 3.633 2.134 -3.448 3.633 2.134 3.448 -3.633" Properties=species:S:1:pos:R:3 pbc="T T T"
Y 0.000 1.724 0.289
Y 2.134 1.724 3.344
Cu 2.134 -0.343 1.196
Cu 2.134 3.105 -1.196
Cu 0.000 0.343 4.829
Cu 0.000 3.792 2.438
```

Largest 8 diffraction maxima, in order of rising 2θ, 15 to 90 degrees two-theta:
2θ/deg, I (rel.)
34.9, 33
35.7, 100
35.9, 41
41.2, 22
42.3, 38
42.9, 58
56.7, 23
69.5, 18



Record 2
Structure and calculated powder X-ray diffraction pattern of NdDyIn2 (a PBE-relaxed structure; Cu Kα).
Peak positions follow from Bragg's law for the DFT cell and can differ from measured ones.

Cell and atoms:
```
4
Lattice="0.000 3.827 3.827 3.827 0.000 3.827 3.827 3.827 0.000" Properties=species:S:1:pos:R:3 pbc="T T T"
Nd 0.000 0.000 0.000
Dy 3.827 3.827 3.827
In 1.914 1.914 1.914
In 5.741 5.741 5.741
```

Largest 8 diffraction maxima, in order of rising 2θ, 15 to 90 degrees two-theta:
2θ/deg, I (rel.)
23.2, 2
33.1, 100
47.5, 18
53.5, 1
59.1, 37
69.5, 11
79.1, 16
88.5, 4



Record 3
Structure and calculated powder X-ray diffraction pattern of Si2Bi14RhI12 (a PBE-relaxed structure; Cu Kα).
Peak positions follow from Bragg's law for the DFT cell and can differ from measured ones.

Cell and atoms:
```
58
Lattice="10.515 0.000 0.000 0.000 10.515 0.000 0.000 0.000 20.822" Properties=species:S:1:pos:R:3 pbc="T T T"
Si 0.000 0.000 2.000
Si 0.000 0.000 8.411
Si 0.000 0.000 12.411
Si 0.000 0.000 18.822
Bi 0.917 2.089 3.795
Bi 0.917 2.089 17.027
Bi 0.917 8.426 6.616
Bi 0.917 8.426 14.206
Bi 2.089 0.917 6.616
Bi 2.089 0.917 14.206
Bi 2.089 9.598 3.795
Bi 2.089 9.598 17.027
Bi 2.629 4.679 10.411
Bi 2.629 5.835 0.000
Bi 4.679 2.629 0.000
Bi 4.679 7.886 10.411
Bi 5.257 5.257 2.677
Bi 5.257 5.257 7.734
Bi 5.257 5.257 13.089
Bi 5.257 5.257 18.145
Bi 5.835 2.629 10.411
Bi 5.835 7.886 0.000
Bi 7.886 4.679 0.000
Bi 7.886 5.835 10.411
Bi 8.426 0.917 3.795
Bi 8.426 0.917 17.027
Bi 8.426 9.598 6.616
Bi 8.426 9.598 14.206
Bi 9.598 2.089 6.616
Bi 9.598 2.089 14.206
Bi 9.598 8.426 3.795
Bi 9.598 8.426 17.027
Rh 5.257 5.257 0.000
Rh 5.257 5.257 10.411
I 1.397 2.910 0.000
I 1.397 7.605 10.411
I 2.123 4.598 7.239
I 2.123 4.598 13.583
I 2.123 5.916 3.172
I 2.123 5.916 17.650
I 2.910 1.397 10.411
I 2.910 9.117 0.000
I 4.598 2.123 3.172
I 4.598 2.123 17.650
I 4.598 8.392 7.239
I 4.598 8.392 13.583
I 5.916 2.123 7.239
I 5.916 2.123 13.583
I 5.916 8.392 3.172
I 5.916 8.392 17.650
I 7.605 1.397 0.000
I 7.605 9.117 10.411
I 8.392 4.598 3.172
I 8.392 4.598 17.650
I 8.392 5.916 7.239
I 8.392 5.916 13.583
I 9.117 2.910 10.411
I 9.117 7.605 0.000
```

Largest 8 diffraction maxima, in order of rising 2θ, 15 to 90 degrees two-theta:
2θ/deg, I (rel.)
25.4, 53
25.7, 80
27.2, 100
33.3, 25
34.5, 67
35.5, 32
36.4, 25
37.6, 38



Record 4
Structure and calculated powder X-ray diffraction pattern of Sc2O3 (a PBE-relaxed structure; Cu Kα).
Peak positions follow from Bragg's law for the DFT cell and can differ from measured ones.

Cell and atoms:
```
5
Lattice="3.390 0.000 0.000 -1.695 2.936 0.000 0.000 0.000 5.666" Properties=species:S:1:pos:R:3 pbc="T T T"
Sc 0.000 1.957 1.410
Sc 1.695 0.979 4.256
O 0.000 0.000 0.000
O 0.000 1.957 3.671
O 1.695 0.979 1.995
```

Largest 8 diffraction maxima, in order of rising 2θ, 15 to 90 degrees two-theta:
2θ/deg, I (rel.)
30.5, 39
31.6, 40
34.4, 100
44.4, 63
54.1, 60
58.1, 39
64.0, 26
65.7, 13



Record 5
Structure and calculated powder X-ray diffraction pattern of Li3IrF6 (a PBE-relaxed structure; Cu Kα).
Peak positions follow from Bragg's law for the DFT cell and can differ from measured ones.

Cell and atoms:
```
10
Lattice="5.672 0.000 0.000 -1.970 5.626 0.000 -2.082 -2.343 5.608" Properties=species:S:1:pos:R:3 pbc="T T T"
Li 0.000 0.000 0.000
Li -2.026 1.641 2.804
Li 1.795 -1.172 2.804
Ir -1.041 -1.172 2.804
F -1.555 4.517 1.359
F -0.433 0.713 3.236
F -1.551 3.382 3.729
F 3.171 -0.099 1.879
F 2.053 2.570 2.371
F 3.176 -1.235 4.248
```

Largest 8 diffraction maxima, in order of rising 2θ, 15 to 90 degrees two-theta:
2θ/deg, I (rel.)
15.8, 100
17.1, 71
18.3, 84
18.4, 50
18.8, 38
25.6, 24
29.0, 21
41.3, 18



Record 6
Structure and calculated powder X-ray diffraction pattern of Li2Eu5O8 (a PBE-relaxed structure; Cu Kα).
Peak positions follow from Bragg's law for the DFT cell and can differ from measured ones.

Cell and atoms:
```
15
Lattice="6.784 -1.763 0.000 6.784 1.763 0.000 -4.853 0.000 8.496" Properties=species:S:1:pos:R:3 pbc="T T T"
Li 1.317 0.000 2.241
Li 7.399 0.000 6.255
Eu -1.683 0.000 6.918
Eu 2.553 0.000 4.811
Eu 6.784 0.000 0.000
Eu 6.162 0.000 3.685
Eu 10.399 0.000 1.578
O -0.550 0.000 1.922
O 2.104 0.000 0.536
O 0.199 0.000 5.252
O 4.004 0.000 2.915
O 4.711 0.000 5.581
O 8.517 0.000 3.245
O 6.611 0.000 7.960
O 9.265 0.000 6.574
```

Largest 8 diffraction maxima, in order of rising 2θ, 15 to 90 degrees two-theta:
2θ/deg, I (rel.)
26.7, 76
27.3, 73
29.8, 64
31.4, 100
32.2, 54
36.3, 32
52.1, 27
54.3, 27



Record 7
Structure and calculated powder X-ray diffraction pattern of BaH5ClO3 (a PBE-relaxed structure; Cu Kα).
Peak positions follow from Bragg's law for the DFT cell and can differ from measured ones.

Cell and atoms:
```
20
Lattice="4.560 0.000 0.000 0.000 4.560 0.000 0.000 0.000 11.687" Properties=species:S:1:pos:R:3 pbc="T T T"
Ba 1.140 1.140 2.093
Ba 3.420 3.420 9.594
H 0.312 3.420 4.318
H 1.140 1.140 5.741
H 1.140 2.593 7.369
H 1.140 4.248 7.369
H 1.968 3.420 4.318
H 2.593 1.140 7.369
H 3.420 0.312 4.318
H 3.420 1.968 4.318
H 3.420 3.420 5.946
H 4.248 1.140 7.369
Cl 1.140 1.140 10.594
Cl 3.420 3.420 1.092
O 1.140 1.140 6.710
O 1.140 3.420 3.720
O 1.140 3.420 7.967
O 3.420 1.140 3.720
O 3.420 1.140 7.967
O 3.420 3.420 4.976
```

Largest 8 diffraction maxima, in order of rising 2θ, 15 to 90 degrees two-theta:
2θ/deg, I (rel.)
15.2, 43
20.9, 100
24.8, 61
27.7, 74
28.7, 45
36.2, 96
36.5, 60
39.5, 59



Record 8
Structure and calculated powder X-ray diffraction pattern of HoScB8Rh8 (a PBE-relaxed structure; Cu Kα).
Peak positions follow from Bragg's law for the DFT cell and can differ from measured ones.

Cell and atoms:
```
18
Lattice="5.331 0.000 0.000 0.000 5.331 0.000 0.000 0.000 7.411" Properties=species:S:1:pos:R:3 pbc="T T T"
Ho 0.000 0.000 0.000
Sc 2.665 2.665 3.706
B 0.000 1.758 4.813
B 0.000 3.573 4.813
B 0.899 2.665 1.111
B 1.758 0.000 2.598
B 2.665 0.899 6.300
B 2.665 4.432 6.300
B 3.573 0.000 2.598
B 4.432 2.665 1.111
Rh 0.000 1.332 2.642
Rh 0.000 3.999 2.642
Rh 1.332 0.000 4.769
Rh 1.345 2.665 6.307
Rh 2.665 1.345 1.104
Rh 2.665 3.985 1.104
Rh 3.985 2.665 6.307
Rh 3.999 0.000 4.769
```

Largest 8 diffraction maxima, in order of rising 2θ, 15 to 90 degrees two-theta:
2θ/deg, I (rel.)
29.4, 59
35.8, 100
39.7, 83
40.2, 66
45.2, 44
48.3, 23
71.4, 28
81.8, 20



Record 9
Structure and calculated powder X-ray diffraction pattern of Er6GaCo2 (a PBE-relaxed structure; Cu Kα).
Peak positions follow from Bragg's law for the DFT cell and can differ from measured ones.

Cell and atoms:
```
18
Lattice="-4.610 4.711 4.932 4.610 -4.711 4.932 4.610 4.711 -4.932" Properties=species:S:1:pos:R:3 pbc="T T T"
Er 4.610 2.823 -2.636
Er 2.610 1.727 0.000
Er 6.609 1.727 0.000
Er 1.805 4.711 -1.787
Er 2.805 0.000 3.145
Er 0.000 1.888 2.296
Er 4.610 2.823 2.636
Er 1.805 4.711 1.787
Er 2.805 0.000 6.719
Er -1.999 2.984 4.932
Er 1.999 2.984 4.932
Er 0.000 1.888 7.567
Ga 0.000 0.000 0.000
Ga 0.000 0.000 4.932
Co 4.610 0.000 1.122
Co 0.000 3.530 0.000
Co 0.000 5.891 0.000
Co 0.000 4.711 3.810
```

Largest 8 diffraction maxima, in order of rising 2θ, 15 to 90 degrees two-theta:
2θ/deg, I (rel.)
30.6, 21
32.7, 100
34.8, 38
35.3, 41
35.8, 38
39.1, 24
57.3, 21
61.3, 24



Record 10
Structure and calculated powder X-ray diffraction pattern of K2PrI5 (a PBE-relaxed structure; Cu Kα).
Peak positions follow from Bragg's law for the DFT cell and can differ from measured ones.

Cell and atoms:
```
32
Lattice="14.658 0.000 0.000 0.000 9.948 0.000 0.000 0.000 9.340" Properties=species:S:1:pos:R:3 pbc="T T T"
K 2.524 0.054 0.608
K 2.524 4.920 0.608
K 4.806 5.029 5.278
K 4.806 9.894 5.278
K 9.853 0.054 4.062
K 9.853 4.920 4.062
K 12.135 5.029 8.732
K 12.135 9.894 8.732
Pr 0.083 2.487 5.421
Pr 7.246 7.461 0.751
Pr 7.412 2.487 8.589
Pr 14.575 7.461 3.919
I 0.095 2.487 8.682
I 1.083 5.433 6.253
I 1.083 9.489 6.253
I 2.694 2.487 3.543
I 3.034 7.461 3.200
I 4.295 2.487 7.870
I 4.635 7.461 8.213
I 6.246 0.459 1.583
I 6.246 4.515 1.583
I 7.234 7.461 4.012
I 7.424 2.487 5.328
I 8.412 5.433 7.757
I 8.412 9.489 7.757
I 10.024 2.487 1.127
I 10.363 7.461 1.470
I 11.624 2.487 6.140
I 11.964 7.461 5.796
I 13.575 0.459 3.087
I 13.575 4.515 3.087
I 14.563 7.461 0.658
```

Largest 8 diffraction maxima, in order of rising 2θ, 15 to 90 degrees two-theta:
2θ/deg, I (rel.)
23.6, 56
26.1, 92
26.4, 42
26.9, 100
28.9, 54
30.3, 46
32.5, 46
36.1, 47



Record 11
Structure and calculated powder X-ray diffraction pattern of RbFeS2 (a PBE-relaxed structure; Cu Kα).
Peak positions follow from Bragg's law for the DFT cell and can differ from measured ones.

Cell and atoms:
```
8
Lattice="3.640 -5.860 0.000 3.640 5.860 0.000 -1.994 0.000 5.063" Properties=species:S:1:pos:R:3 pbc="T T T"
Rb 2.145 4.150 3.797
Rb 3.142 -4.150 1.266
Fe 3.142 0.029 1.266
Fe 2.145 -0.029 3.797
S 0.479 1.153 4.581
S 1.476 -1.153 2.050
S 3.810 1.153 3.014
S 4.807 -1.153 0.482
```

Largest 8 diffraction maxima, in order of rising 2θ, 15 to 90 degrees two-theta:
2θ/deg, I (rel.)
15.1, 49
26.3, 100
26.7, 50
30.0, 70
35.4, 23
40.4, 34
46.5, 24
54.2, 20



Record 12
Structure and calculated powder X-ray diffraction pattern of Mg3Ga (a PBE-relaxed structure; Cu Kα).
Peak positions follow from Bragg's law for the DFT cell and can differ from measured ones.

Cell and atoms:
```
4
Lattice="-1.539 5.092 2.675 1.539 -5.092 2.675 1.539 5.092 -2.675" Properties=species:S:1:pos:R:3 pbc="T T T"
Mg 0.000 0.000 0.000
Mg 1.539 2.568 -0.890
Mg 0.000 2.524 1.785
Ga 0.000 5.092 0.009
```

Largest 8 diffraction maxima, in order of rising 2θ, 15 to 90 degrees two-theta:
2θ/deg, I (rel.)
17.4, 15
18.7, 26
33.6, 30
35.2, 27
38.1, 100
49.5, 19
65.1, 21
71.5, 12